Nd4SmDy2Y2: theoretical XRD peak list (Cu Kα), based on the GGA-PBE geometry in Alexandria.

Most intense lines, 15 to 90 degrees two-theta, in order of rising 2θ:
2θ (°)  intensity  index
30.2  100  3 1 1
35.1  50  0 2 0
50.4  30  6 0 2
50.5  6  6 0 -4
59.9  28  9 1 0
60.0  14  3 3 -2
62.9  12  6 2 2
82.0  6  9 3 0
82.1  12  3 3 4
84.7  11  0 4 3

abc: 15.3689 5.1150 8.0888
angles: 90.00 108.35 90.00
Space group C2/m (No. 12)
Symmetry-distinct sites (fractional):
Nd: 0.0547 0.0000 0.3308 (multiplicity 4)
Nd: 0.2224 0.5000 0.3316 (multiplicity 4)
Sm: 0.0000 0.5000 0.0000 (multiplicity 2)
Dy: 0.1676 0.0000 0.9998 (multiplicity 4)
Y: 0.1115 0.5000 0.6685 (multiplicity 4)